Entry 1:
Diffraction record for Li2NiSn2Pd. The X-ray powder pattern is computed, not measured: it uses a structure optimized by DFT (GGA-PBE) and copper Kα.

Largest 10 diffraction maxima, in order of rising 2θ, 5° ≤ 2θ ≤ 70°:
- 2θ 22.54, I 95.4, (1 0 0)
- 2θ 27.79, I 10.7, (1 0 1)
- 2θ 32.44, I 51.8, (0 0 2)
- 2θ 39.57, I 100.0, (1 1 0)
- 2θ 39.86, I 52.8, (1 0 2)
- 2θ 46.01, I 14.5, (2 0 0)
- 2θ 52.06, I 81.9, (1 1 2)
- 2θ 57.42, I 18.2, (2 0 2)
- 2θ 62.27, I 11.8, (2 1 0)
- 2θ 67.92, I 6.8, (0 0 4)

Cell and atoms:
abc: 4.555 4.555 5.520
angles: 90.00 90.00 120.00
Fractional coordinates of all 6 atoms:
Li  0.000  0.000  0.248
Li  0.000  0.000  0.752
Ni  0.667  0.333  0.000
Sn  0.333  0.667  0.000
Sn  0.667  0.333  0.500
Pd  0.333  0.667  0.500

=====

Entry 2:
Diffraction record for Li2Zn2NiSn2Pd. The X-ray powder pattern is computed, not measured: it uses a structure optimized by DFT (GGA-PBE) and copper Kα.

Largest 10 diffraction maxima, in order of rising 2θ, 5° ≤ 2θ ≤ 70°:
- 2θ 24.62, I 42.8, (1 0 1)
- 2θ 28.15, I 8.0, (0 0 2)
- 2θ 28.68, I 16.0, (1 1 0)
- 2θ 40.62, I 100.0, (1 1 2)
- 2θ 41.01, I 49.5, (2 0 0)
- 2θ 47.74, I 7.1, (1 0 3)
- 2θ 48.42, I 13.9, (2 1 1)
- 2θ 50.48, I 6.7, (2 0 2)
- 2θ 58.21, I 8.2, (0 0 4)
- 2θ 59.39, I 16.4, (2 2 0)

Cell and atoms:
abc: 4.402 4.402 6.340
angles: 90.00 90.00 90.00
Fractional coordinates of all 8 atoms:
Li  0.000  0.000  0.000
Li  0.500  0.500  0.500
Zn  0.000  0.500  0.239
Zn  0.500  0.000  0.761
Ni  0.500  0.500  0.000
Sn  0.000  0.500  0.764
Sn  0.500  0.000  0.236
Pd  0.000  0.000  0.500